This entry pairs a crystal structure of Li2FeSi6O15 with its theoretical X-ray powder pattern. Radiation: copper Kα. Structure: the GGA+U geometry in Alexandria.

Largest 12 diffraction maxima, by angle, 10 to 90 degrees two-theta:
(0 1 0), d = 6.350 Å, 13.9 deg, I = 34; (1 0 -1), d = 5.821 Å, 15.2 deg, I = 23; (1 -1 0), d = 5.771 Å, 15.4 deg, I = 57; (0 1 1), d = 3.967 Å, 22.4 deg, I = 100; (1 -1 1), d = 3.933 Å, 22.6 deg, I = 84; (-2 1 1), d = 3.409 Å, 26.1 deg, I = 30; (0 1 -2), d = 3.365 Å, 26.5 deg, I = 39; (1 1 -2), d = 3.243 Å, 27.5 deg, I = 80; (2 0 -1), d = 3.158 Å, 28.3 deg, I = 48; (-1 2 1), d = 3.088 Å, 28.9 deg, I = 89; (2 -2 0), d = 2.885 Å, 31.0 deg, I = 21; (2 1 -1), d = 2.467 Å, 36.4 deg, I = 27

Crystal structure
Cell: 6.883 7.280 7.474 Å, 96.46 113.09 113.18°
Space group P-1 (No. 2)
Unique sites:
Li 0.217 0.177 0.139 (multiplicity 2)
Fe 0.500 0.000 0.000 (multiplicity 1)
Si 0.148 0.805 0.216 (multiplicity 2)
Si 0.218 0.507 0.699 (multiplicity 2)
Si 0.374 0.174 0.609 (multiplicity 2)
O 0.000 0.500 0.500 (multiplicity 1)
O 0.114 0.387 0.841 (multiplicity 2)
O 0.152 0.869 0.017 (multiplicity 2)
O 0.200 0.024 0.368 (multiplicity 2)
O 0.321 0.042 0.760 (multiplicity 2)
O 0.329 0.377 0.617 (multiplicity 2)
O 0.346 0.735 0.341 (multiplicity 2)
O 0.447 0.739 0.839 (multiplicity 2)